Entry 1:
Starting from a crystal structure in Alexandria, relaxed with GGA-PBE, the X-ray diffraction stick pattern of Ac3Sn5Rh was calculated for Cu Kα (λ = 1.5418 Å).
Kinematic intensities with the Lorentz-polarization factor, no thermal factor.

Atomic structure:
a b c (Å): 8.1370 8.1370 4.6801
angles (deg): 90.00 90.00 120.00
Space group P-62m (No. 189)
One atom of each set of equivalent atoms:
Ac 0.0000 0.3842 0.0000
Sn 0.0000 0.7738 0.5000
Sn 0.3333 0.6667 0.5000
Rh 0.0000 0.0000 0.0000

The 10 most intense peaks (10° ≤ 2θ ≤ 80°), low angle first:
2θ (°)	I_rel
29.1	100.0
31.8	46.1
33.6	32.2
38.3	26.6
38.5	23.6
38.9	19.4
50.6	15.1
52.0	19.4
55.4	18.6
60.6	18.0

---

Entry 2:
Starting from a crystal structure in Alexandria, relaxed with GGA-PBE, the X-ray diffraction stick pattern of Pm12ScGe6 was calculated for Cu Kα (λ = 1.5418 Å).
Kinematic intensities with the Lorentz-polarization factor, no thermal factor.

Atomic structure:
a b c (Å): 10.359 10.359 10.359
angles (deg): 90.00 90.00 90.00
Space group Im-3 (No. 204)
One atom of each set of equivalent atoms:
Pm 0.000 0.293 0.189
Sc 0.000 0.000 0.000
Ge 0.000 0.120 0.500

The 10 most intense peaks (10° ≤ 2θ ≤ 80°), low angle first:
2θ (°)	I_rel
27.2	26.1
29.9	46.0
32.3	100.0
34.6	20.4
36.8	13.6
44.6	18.5
51.4	34.2
54.6	31.4
63.5	19.3
79.6	16.3

---

Entry 3:
Starting from a crystal structure in Alexandria, relaxed with GGA-PBE, the X-ray diffraction stick pattern of K2CoS2 was calculated for Cu Kα (λ = 1.5418 Å).
Kinematic intensities with the Lorentz-polarization factor, no thermal factor.

Atomic structure:
a b c (Å): 6.817 12.704 5.921
angles (deg): 90.00 90.00 90.00
Space group Ibam (No. 72)
One atom of each set of equivalent atoms:
K 0.167 0.146 0.000
Co 0.000 0.500 0.250
S 0.182 0.401 0.000

The 10 most intense peaks (10° ≤ 2θ ≤ 80°), low angle first:
2θ (°)	I_rel
13.9	60.4
14.7	100.0
24.8	67.1
31.1	63.9
33.8	28.9
34.6	33.3
37.1	28.3
38.8	39.8
40.3	50.7
41.7	62.0

---

Entry 4:
Starting from a crystal structure in Alexandria, relaxed with GGA-PBE, the X-ray diffraction stick pattern of DyZn13 was calculated for Cu Kα (λ = 1.5418 Å).
Kinematic intensities with the Lorentz-polarization factor, no thermal factor.

Atomic structure:
a b c (Å): 12.130 12.130 12.130
angles (deg): 90.00 90.00 90.00
Space group Fm-3c (No. 226)
One atom of each set of equivalent atoms:
Dy 0.250 0.250 0.250
Zn 0.000 0.000 0.000
Zn 0.000 0.121 0.180

The 10 most intense peaks (10° ≤ 2θ ≤ 80°), low angle first:
2θ (°)	I_rel
33.0	50.8
36.3	100.0
44.2	98.9
44.8	20.8
47.4	21.0
54.6	14.0
56.8	15.9
63.2	17.3
70.8	17.5
77.0	15.8

---

Entry 5:
Starting from a crystal structure in Alexandria, relaxed with GGA-PBE, the X-ray diffraction stick pattern of La2Ge2O7 was calculated for Cu Kα (λ = 1.5418 Å).
Kinematic intensities with the Lorentz-polarization factor, no thermal factor.

Atomic structure:
a b c (Å): 6.983 7.148 7.175
angles (deg): 64.16 87.42 88.41
Space group P1 (No. 1)
One atom of each set of equivalent atoms:
La 0.000 0.000 0.000
La 0.063 0.517 0.485
La 0.304 0.987 0.495
La 0.577 0.433 0.852
Ge 0.112 0.476 0.974
Ge 0.466 0.871 0.045
Ge 0.571 0.426 0.356
Ge 0.806 0.996 0.504
O 0.024 0.612 0.114
O 0.249 0.613 0.734
O 0.259 0.254 0.103
O 0.297 0.962 0.851
O 0.335 0.802 0.281
O 0.349 0.336 0.481
O 0.563 0.612 0.088
O 0.625 0.826 0.653
O 0.653 0.049 0.983
O 0.667 0.210 0.311
O 0.713 0.489 0.512
O 0.926 0.383 0.869
O 0.965 0.888 0.375
O 0.973 0.100 0.613

The 10 most intense peaks (10° ≤ 2θ ≤ 80°), low angle first:
2θ (°)	I_rel
24.9	29.0
27.7	100.0
28.6	24.8
29.0	44.8
29.2	21.7
29.5	24.1
30.1	32.8
31.7	21.7
45.3	19.7
47.8	13.7

---

Entry 6:
Starting from a crystal structure in Alexandria, relaxed with GGA-PBE, the X-ray diffraction stick pattern of Tm3Fe7Co2 was calculated for Cu Kα (λ = 1.5418 Å).
Kinematic intensities with the Lorentz-polarization factor, no thermal factor.

Atomic structure:
a b c (Å): 5.0348 5.0348 24.2931
angles (deg): 90.00 90.00 120.00
Space group R-3m (No. 166, hexagonal axes)
One atom of each set of equivalent atoms:
Tm 0.0000 0.0000 0.0000
Tm 0.0000 0.0000 0.1421
Fe 0.0000 0.0000 0.5000
Fe 0.0002 0.5001 0.0819
Co 0.0000 0.0000 0.3326

The 10 most intense peaks (10° ≤ 2θ ≤ 80°), low angle first:
2θ (°)	I_rel
20.7	15.4
33.0	53.4
35.7	58.1
36.0	34.7
41.6	37.4
42.3	100.0
62.4	17.3
68.6	22.6
69.2	13.1
75.5	20.2